The following is a computed powder diffraction line list of Be2H7. It was derived from a crystal structure in Alexandria, relaxed with GGA-PBE, using Cu Kα.

Peak list (6 most intense, 15 to 90 degrees two-theta, low angle first)
29.24 deg, I 1
33.90 deg, I 78
48.69 deg, I 100
60.65 deg, I 71
71.32 deg, I 35
81.36 deg, I 48

Atomic structure:
```
Be2H7
1.0
0.0000 2.6447 2.6447
2.6447 0.0000 2.6447
2.6447 2.6447 0.0000
Be H
2 7
Cartesian
1.3223 1.3223 1.3223
3.9670 3.9670 3.9670
0.0000 0.0000 0.0000
2.6447 2.6447 1.4084
2.6447 1.4084 2.6447
3.8810 2.6447 2.6447
1.4084 2.6447 2.6447
2.6447 3.8810 2.6447
2.6447 2.6447 3.8810
```

=====

The following is a computed powder diffraction line list of BeH2. It was derived from a crystal structure in Alexandria, relaxed with GGA-PBE, using Cu Kα.

Peak list (6 most intense, 15 to 90 degrees two-theta, low angle first)
17.89 deg, I 100
29.30 deg, I 64
37.47 deg, I 18
41.62 deg, I 9
43.36 deg, I 12
47.02 deg, I 11

Atomic structure:
```
BeH2
1.0
2.4001 0.0000 0.0000
0.0000 3.8649 0.0000
-0.0555 0.0000 4.9584
Be H
2 4
Cartesian
-0.0014 0.0000 0.7261
2.3460 1.9325 4.2324
-0.0003 1.4363 0.6101
1.1458 1.6176 3.4583
1.1988 3.5501 1.5001
2.3450 3.3687 4.3484
```

=====

The following is a computed powder diffraction line list of Be2H. It was derived from a crystal structure in Alexandria, relaxed with GGA-PBE, using Cu Kα.

Peak list (6 most intense, 15 to 90 degrees two-theta, low angle first)
18.07 deg, I 100
46.12 deg, I 43
46.23 deg, I 38
48.57 deg, I 27
51.42 deg, I 37
51.66 deg, I 27

Atomic structure:
```
Be2H
1.0
2.1402 0.0000 0.0000
1.0344 2.1354 0.0000
0.3478 -0.1362 9.8194
Be H
4 2
Cartesian
0.0000 0.0000 0.0000
1.3905 2.0340 6.2478
1.0997 0.8859 1.8158
2.4438 1.1833 8.0430
2.4598 2.0394 5.2578
2.1691 0.8978 2.8035
```

=====

The following is a computed powder diffraction line list of HfBe2H6. It was derived from a crystal structure in Alexandria, relaxed with GGA-PBE, using Cu Kα.

Peak list (6 most intense, 15 to 90 degrees two-theta, low angle first)
23.35 deg, I 100
27.02 deg, I 48
38.58 deg, I 47
45.59 deg, I 53
61.22 deg, I 23
62.98 deg, I 18

Atomic structure:
```
HfBe2H6
1.0
0.0000 3.2999 3.2999
3.2999 0.0000 3.2999
3.2999 3.2999 0.0000
Hf Be H
1 2 6
Cartesian
0.0000 0.0000 0.0000
1.6500 1.6500 1.6500
4.9499 4.9499 4.9499
3.2999 3.2999 1.8830
3.2999 1.8830 3.2999
4.7169 3.2999 3.2999
1.8830 3.2999 3.2999
3.2999 4.7169 3.2999
3.2999 3.2999 4.7169
```

=====

The following is a computed powder diffraction line list of BeHgH2. It was derived from a crystal structure in Alexandria, relaxed with GGA-PBE, using Cu Kα.

Peak list (6 most intense, 15 to 90 degrees two-theta, low angle first)
21.30 deg, I 97
35.13 deg, I 100
41.45 deg, I 58
55.43 deg, I 24
63.03 deg, I 38
67.34 deg, I 19

Atomic structure:
```
BeHgH2
1.0
0.0000 3.6125 3.6125
3.6125 0.0000 3.6125
3.6125 3.6125 0.0000
Be Hg H
2 2 4
Cartesian
0.9031 0.9031 0.9031
6.3218 6.3218 6.3218
2.7093 2.7093 2.7093
4.5156 4.5156 4.5156
0.0000 0.0000 0.0000
1.8062 1.8062 0.0000
1.8062 0.0000 1.8062
0.0000 1.8062 1.8062
```

=====

The following is a computed powder diffraction line list of BeHI. It was derived from a crystal structure in Alexandria, relaxed with GGA-PBE, using Cu Kα.

Peak list (6 most intense, 15 to 90 degrees two-theta, low angle first)
18.66 deg, I 24
19.13 deg, I 23
25.35 deg, I 100
26.10 deg, I 56
33.77 deg, I 24
34.46 deg, I 24

Atomic structure:
```
BeHI
1.0
7.9785 -4.7562 0.0000
7.9785 4.7562 0.0000
-0.1782 0.0000 5.2053
Be H I
6 6 6
Cartesian
7.8449 3.9129 3.9039
5.9030 0.3489 3.8271
5.9921 -0.3489 1.2244
9.7867 0.3489 3.9808
9.8758 -0.3489 1.3782
7.9339 -3.9129 1.3013
7.9339 4.2262 1.3013
5.2618 -0.0004 2.5038
5.1727 0.0004 5.1064
10.6061 -0.0004 0.0989
10.5170 0.0004 2.7015
7.8449 -4.2262 3.9039
5.7179 2.8327 3.8314
9.9718 2.8327 3.9765
7.9339 1.1566 1.3013
7.8449 -1.1566 3.9039
5.8070 -2.8327 1.2288
10.0609 -2.8327 1.3738
```

=====

The following is a computed powder diffraction line list of Be4H7I. It was derived from a crystal structure in Alexandria, relaxed with GGA-PBE, using Cu Kα.

Peak list (6 most intense, 15 to 90 degrees two-theta, low angle first)
19.67 deg, I 100
21.36 deg, I 100
27.26 deg, I 35
28.63 deg, I 41
29.84 deg, I 47
31.02 deg, I 84

Atomic structure:
```
Be4H7I
1.0
12.1974 0.0000 0.0000
0.0000 4.8583 0.0000
0.0000 0.0000 4.4247
Be H I
8 14 2
Cartesian
1.1694 0.0217 0.0000
3.0267 3.2446 1.2561
3.0720 1.6137 3.4684
4.9293 4.8365 2.2123
7.2681 4.8365 2.2123
9.1254 1.6137 3.4684
9.1706 3.2446 1.2561
11.0280 0.0217 0.0000
0.0000 4.2360 3.7823
1.8337 3.9494 0.8677
2.0307 0.6072 3.4424
2.7263 2.7186 2.5843
3.3724 2.1396 0.3720
4.0680 4.2510 1.2301
4.2650 0.9088 3.0800
6.0987 0.6222 1.5699
7.9324 0.9088 3.0800
8.1294 4.2510 1.2301
8.8250 2.1396 0.3720
9.4711 2.7186 2.5843
10.1666 0.6072 3.4424
10.3636 3.9494 0.8677
0.0000 1.5873 1.3405
6.0987 3.2709 3.5529
```

=====

The following is a computed powder diffraction line list of KBe2H8Ir. It was derived from a crystal structure in Alexandria, relaxed with GGA-PBE, using Cu Kα.

Peak list (6 most intense, 15 to 90 degrees two-theta, low angle first)
24.58 deg, I 50
24.77 deg, I 38
25.62 deg, I 100
29.42 deg, I 88
42.63 deg, I 32
49.93 deg, I 35

Atomic structure:
```
KBe2H8Ir
1.0
2.1208 1.2245 7.1893
-2.1208 1.2245 7.1893
0.0000 -2.4489 7.1893
K Be H Ir
1 2 8 1
Cartesian
0.0000 0.0000 0.0000
0.0000 0.0000 4.6950
0.0000 0.0000 16.8729
-1.2799 0.0739 9.7159
-0.7039 -1.0714 11.8520
0.0000 0.0000 6.1211
0.5759 -1.1453 9.7159
-0.5759 1.1453 11.8520
0.0000 0.0000 15.4468
0.7039 1.0714 9.7159
1.2799 -0.0739 11.8520
0.0000 0.0000 10.7839
```